Record 1
This entry pairs a crystal structure of TiO with its computed powder XRD pattern. Radiation: Cu Kα (λ = 1.5418 Å). Structure: the GGA-PBE geometry in the Materials Project.

Structure:
Cell lengths 4.280, 5.829, 18.062 Å; angles 89.53, 89.86, 89.75 degrees
Fractional coordinates of all 42 atoms:
Ti  0.000  0.000  0.000
Ti  0.000  0.000  0.500
Ti  0.000  0.500  0.000
Ti  0.027  0.001  0.330
Ti  0.027  0.489  0.169
Ti  0.027  0.515  0.339
Ti  0.031  0.997  0.167
Ti  0.441  0.748  0.087
Ti  0.448  0.251  0.092
Ti  0.468  0.762  0.256
Ti  0.493  0.247  0.576
Ti  0.495  0.746  0.581
Ti  0.505  0.254  0.419
Ti  0.507  0.753  0.424
Ti  0.532  0.238  0.744
Ti  0.552  0.749  0.908
Ti  0.559  0.252  0.913
Ti  0.969  0.003  0.833
Ti  0.973  0.485  0.661
Ti  0.973  0.511  0.831
Ti  0.973  0.999  0.670
O  0.007  0.756  0.421
O  0.008  0.249  0.416
O  0.027  0.259  0.751
O  0.056  0.752  0.914
O  0.069  0.254  0.916
O  0.475  0.007  0.830
O  0.475  0.490  0.662
O  0.476  0.994  0.663
O  0.480  0.495  0.827
O  0.500  0.000  0.000
O  0.500  0.500  0.000
O  0.500  0.500  0.500
O  0.520  0.505  0.173
O  0.524  0.006  0.337
O  0.525  0.510  0.338
O  0.525  0.993  0.170
O  0.931  0.746  0.084
O  0.944  0.248  0.086
O  0.973  0.741  0.249
O  0.992  0.751  0.584
O  0.993  0.244  0.579

Peak list (8 most intense, 10° ≤ 2θ ≤ 90°, in order of rising 2θ)
- 2θ 15.99, 5.542 Å, rel. 28.9, (0 1 -1)
- 2θ 36.49, 2.462 Å, rel. 73.9, (1 0 6)
- 2θ 37.25, 2.414 Å, rel. 36.3, (1 2 0)
- 2θ 37.40, 2.404 Å, rel. 35.0, (1 -2 0)
- 2θ 42.23, 2.140 Å, rel. 92.3, (2 0 0)
- 2θ 43.02, 2.103 Å, rel. 96.9, (0 2 6)
- 2θ 43.39, 2.085 Å, rel. 100.0, (0 2 -6)
- 2θ 62.06, 1.495 Å, rel. 45.7, (2 2 -6)

---

Record 2
This entry pairs a crystal structure of Ti3O with its computed powder XRD pattern. Radiation: Cu Kα (λ = 1.5418 Å). Structure: the GGA-PBE geometry in the Materials Project.

Structure:
Cell lengths 5.127, 5.127, 4.911 Å; angles 90.00, 90.00, 120.00 degrees
Fractional coordinates of all 8 atoms:
Ti  0.000  0.330  0.250
Ti  0.000  0.670  0.750
Ti  0.330  0.000  0.250
Ti  0.330  0.330  0.750
Ti  0.670  0.000  0.750
Ti  0.670  0.670  0.250
O  0.000  0.000  0.000
O  0.000  0.000  0.500

Peak list (8 most intense, 10° ≤ 2θ ≤ 90°, in order of rising 2θ)
- 2θ 35.00, 2.563 Å, rel. 14.2, (1 1 0)
- 2θ 36.59, 2.456 Å, rel. 22.1, (0 0 2)
- 2θ 39.66, 2.272 Å, rel. 100.0, (1 1 1)
- 2θ 51.54, 1.773 Å, rel. 21.2, (1 1 2)
- 2θ 62.78, 1.480 Å, rel. 18.1, (3 0 0)
- 2θ 67.94, 1.380 Å, rel. 17.3, (1 1 3)
- 2θ 74.92, 1.268 Å, rel. 13.9, (3 0 2)
- 2θ 76.87, 1.240 Å, rel. 11.7, (2 2 1)

---

- Which formula does entry 1 have?
  TiO